(1)
Starting from a PBE-relaxed structure, the XRD peak list of AgSbS2 was calculated for Cu Kα (λ = 1.5418 Å).

The 8 most intense peaks (5° ≤ 2θ ≤ 70°), low angle first:
15.8 deg, I 100.0; 18.2 deg, I 17.2; 21.9 deg, I 17.1; 23.9 deg, I 17.7; 24.5 deg, I 21.5; 24.6 deg, I 13.5; 39.8 deg, I 18.1; 44.7 deg, I 13.5

Crystal structure
```
data_AgSbS2
_chemical_formula_sum 'Ag8 Sb8 S16'
_space_group_name_H-M_alt 'C 1 c 1'
_space_group_IT_number 9
_cell_length_a 14.909
_cell_length_b 5.796
_cell_length_c 13.915
_cell_angle_alpha 90.00
_cell_angle_beta 102.72
_cell_angle_gamma 90.00
loop_
_space_group_symop_operation_xyz
'x,y,z'
'x,-y,z+1/2'
'x+1/2,y+1/2,z'
'x+1/2,-y+1/2,z+1/2'
loop_
_atom_site_label
_atom_site_type_symbol
_atom_site_fract_x
_atom_site_fract_y
_atom_site_fract_z
Ag1 Ag 0.000 0.006 0.000
Ag2 Ag 0.001 0.494 0.500
Sb1 Sb 0.203 0.072 0.655
Sb2 Sb 0.296 0.422 0.357
S1 S 0.047 0.244 0.640
S2 S 0.189 0.091 0.316
S3 S 0.306 0.410 0.696
S4 S 0.449 0.243 0.361
```

=====

(2)
Starting from a PBE-relaxed structure, the XRD peak list of AgSbSeS was calculated for Cu Kα (λ = 1.5418 Å).

The 8 most intense peaks (5° ≤ 2θ ≤ 70°), low angle first:
27.3 deg, I 35.8; 30.9 deg, I 54.9; 32.0 deg, I 100.0; 45.1 deg, I 74.9; 45.9 deg, I 35.5; 54.3 deg, I 10.7; 56.4 deg, I 37.7; 66.9 deg, I 11.1

Crystal structure
```
data_AgSbSeS
_chemical_formula_sum 'Ag1 Sb1 Se1 S1'
_space_group_name_H-M_alt 'P 4/m m m'
_space_group_IT_number 123
_space_group_name_Hall '-P 4 2'
_cell_length_a 3.953
_cell_length_b 3.953
_cell_length_c 5.782
_cell_angle_alpha 90.00
_cell_angle_beta 90.00
_cell_angle_gamma 90.00
loop_
_atom_site_label
_atom_site_type_symbol
_atom_site_fract_x
_atom_site_fract_y
_atom_site_fract_z
Ag1 Ag 0.000 0.000 0.000
Sb1 Sb 0.500 0.500 0.500
Se1 Se 0.500 0.500 0.000
S1 S 0.000 0.000 0.500
```

=====

(3)
Starting from a PBE-relaxed structure, the XRD peak list of Tl3Ag3Sb2S6 was calculated for Cu Kα (λ = 1.5418 Å).

The 8 most intense peaks (5° ≤ 2θ ≤ 70°), low angle first:
23.6 deg, I 65.6; 23.7 deg, I 80.7; 26.7 deg, I 100.0; 27.7 deg, I 54.5; 29.2 deg, I 96.5; 30.0 deg, I 85.5; 31.6 deg, I 62.1; 32.8 deg, I 61.1

Crystal structure
```
data_Tl3Ag3Sb2S6
_chemical_formula_sum 'Tl12 Ag12 Sb8 S24'
_space_group_name_H-M_alt 'P 1 21/c 1'
_space_group_IT_number 14
_cell_length_a 11.538
_cell_length_b 12.142
_cell_length_c 12.246
_cell_angle_alpha 90.00
_cell_angle_beta 119.78
_cell_angle_gamma 90.00
loop_
_space_group_symop_operation_xyz
'x,y,z'
'-x,-y,-z'
'-x,y+1/2,-z+1/2'
'x,-y+1/2,z+1/2'
loop_
_atom_site_label
_atom_site_type_symbol
_atom_site_fract_x
_atom_site_fract_y
_atom_site_fract_z
Tl1 Tl 0.162 0.246 0.229
Tl2 Tl 0.194 0.510 0.465
Tl3 Tl 0.215 0.615 0.112
Ag1 Ag 0.110 0.153 0.429
Ag2 Ag 0.473 0.625 0.051
Ag3 Ag 0.473 0.635 0.425
Sb1 Sb 0.169 0.590 0.759
Sb2 Sb 0.498 0.147 0.745
S1 S 0.004 0.679 0.557
S2 S 0.006 0.532 0.822
S3 S 0.271 0.749 0.901
S4 S 0.355 0.082 0.526
S5 S 0.371 0.074 0.843
S6 S 0.416 0.163 0.212
```

=====

(4)
Starting from a PBE-relaxed structure, the XRD peak list of SiAg8S6 was calculated for Cu Kα (λ = 1.5418 Å).

The 8 most intense peaks (5° ≤ 2θ ≤ 70°), low angle first:
14.3 deg, I 47.5; 28.8 deg, I 100.0; 32.9 deg, I 50.9; 33.9 deg, I 36.1; 36.0 deg, I 29.2; 38.4 deg, I 26.2; 43.8 deg, I 30.9; 48.0 deg, I 33.0

Crystal structure
```
data_SiAg8S6
_chemical_formula_sum 'Si4 Ag32 S24'
_space_group_name_H-M_alt 'P n a 21'
_space_group_IT_number 33
_cell_length_a 15.213
_cell_length_b 7.590
_cell_length_c 10.690
_cell_angle_alpha 90.00
_cell_angle_beta 90.00
_cell_angle_gamma 90.00
loop_
_space_group_symop_operation_xyz
'x,y,z'
'-x,-y,z+1/2'
'-x+1/2,y+1/2,z+1/2'
'x+1/2,-y+1/2,z'
loop_
_atom_site_label
_atom_site_type_symbol
_atom_site_fract_x
_atom_site_fract_y
_atom_site_fract_z
Si1 Si 0.123 0.237 0.000
Ag1 Ag 0.015 0.516 0.238
Ag2 Ag 0.064 0.736 0.014
Ag3 Ag 0.067 0.069 0.327
Ag4 Ag 0.088 0.121 0.663
Ag5 Ag 0.129 0.772 0.482
Ag6 Ag 0.229 0.506 0.258
Ag7 Ag 0.232 0.384 0.656
Ag8 Ag 0.239 0.123 0.447
S1 S 0.009 0.231 0.118
S2 S 0.113 0.316 0.481
S3 S 0.121 0.008 0.880
S4 S 0.123 0.767 0.245
S5 S 0.126 0.467 0.881
S6 S 0.237 0.229 0.118
```

=====

(5)
Starting from a PBE-relaxed structure, the XRD peak list of Sm5AgS8 was calculated for Cu Kα (λ = 1.5418 Å).

The 8 most intense peaks (5° ≤ 2θ ≤ 70°), low angle first:
25.6 deg, I 57.5; 25.7 deg, I 98.5; 33.2 deg, I 44.9; 33.4 deg, I 100.0; 39.6 deg, I 31.8; 39.8 deg, I 55.6; 48.0 deg, I 37.7; 50.4 deg, I 38.4

Crystal structure
```
data_Sm5AgS8
_chemical_formula_sum 'Sm10 Ag2 S16'
_space_group_name_H-M_alt 'I -4'
_space_group_IT_number 82
_cell_length_a 8.471
_cell_length_b 8.471
_cell_length_c 8.537
_cell_angle_alpha 90.00
_cell_angle_beta 90.00
_cell_angle_gamma 90.00
loop_
_space_group_symop_operation_xyz
'x,y,z'
'y,-x,-z'
'-x,-y,z'
'-y,x,-z'
'x+1/2,y+1/2,z+1/2'
'y+1/2,-x+1/2,-z+1/2'
'-x+1/2,-y+1/2,z+1/2'
'-y+1/2,x+1/2,-z+1/2'
loop_
_atom_site_label
_atom_site_type_symbol
_atom_site_fract_x
_atom_site_fract_y
_atom_site_fract_z
Sm1 Sm 0.000 0.000 0.000
Sm2 Sm 0.134 0.248 0.381
Ag1 Ag 0.000 0.500 0.750
S1 S 0.070 0.179 0.701
S2 S 0.075 0.316 0.066
```

=====

(6)
Starting from a PBE-relaxed structure, the XRD peak list of SmAgS2 was calculated for Cu Kα (λ = 1.5418 Å).

The 8 most intense peaks (5° ≤ 2θ ≤ 70°), low angle first:
26.7 deg, I 100.0; 27.2 deg, I 38.3; 32.6 deg, I 91.8; 38.0 deg, I 23.4; 43.0 deg, I 44.8; 46.8 deg, I 30.7; 54.7 deg, I 32.2; 54.9 deg, I 14.6

Crystal structure
```
data_SmAgS2
_chemical_formula_sum 'Sm8 Ag8 S16'
_space_group_name_H-M_alt 'P 1 21 1'
_space_group_IT_number 4
_cell_length_a 7.767
_cell_length_b 7.763
_cell_length_c 13.123
_cell_angle_alpha 90.00
_cell_angle_beta 90.12
_cell_angle_gamma 90.00
loop_
_space_group_symop_operation_xyz
'x,y,z'
'-x,y+1/2,-z'
loop_
_atom_site_label
_atom_site_type_symbol
_atom_site_fract_x
_atom_site_fract_y
_atom_site_fract_z
Sm1 Sm 0.003 0.000 0.247
Sm2 Sm 0.247 0.246 0.503
Sm3 Sm 0.254 0.748 0.004
Sm4 Sm 0.497 0.991 0.747
Ag1 Ag 0.003 0.996 0.689
Ag2 Ag 0.245 0.245 0.044
Ag3 Ag 0.259 0.744 0.541
Ag4 Ag 0.498 0.994 0.201
S1 S 0.023 0.022 0.031
S2 S 0.030 0.527 0.537
S3 S 0.221 0.220 0.718
S4 S 0.222 0.276 0.289
S5 S 0.278 0.716 0.789
S6 S 0.278 0.771 0.220
S7 S 0.469 0.466 0.038
S8 S 0.475 0.971 0.531
```

=====

(7)
Starting from a PBE-relaxed structure, the XRD peak list of AgSnS2 was calculated for Cu Kα (λ = 1.5418 Å).

The 8 most intense peaks (5° ≤ 2θ ≤ 70°), low angle first:
28.0 deg, I 87.5; 32.3 deg, I 100.0; 32.7 deg, I 48.4; 46.3 deg, I 35.4; 46.6 deg, I 69.6; 55.0 deg, I 28.7; 55.5 deg, I 14.0; 57.8 deg, I 35.9

Crystal structure
```
data_AgSnS2
_chemical_formula_sum 'Ag1 Sn1 S2'
_space_group_name_H-M_alt 'P 4/m m m'
_space_group_IT_number 123
_space_group_name_Hall '-P 4 2'
_cell_length_a 3.920
_cell_length_b 3.920
_cell_length_c 5.480
_cell_angle_alpha 90.00
_cell_angle_beta 90.00
_cell_angle_gamma 90.00
loop_
_atom_site_label
_atom_site_type_symbol
_atom_site_fract_x
_atom_site_fract_y
_atom_site_fract_z
Ag1 Ag 0.000 0.000 0.000
Sn1 Sn 0.500 0.500 0.500
S1 S 0.000 0.000 0.500
S2 S 0.500 0.500 0.000
```

=====

(8)
Starting from a PBE-relaxed structure, the XRD peak list of Ag5Sn6S16 was calculated for Cu Kα (λ = 1.5418 Å).

The 8 most intense peaks (5° ≤ 2θ ≤ 70°), low angle first:
14.2 deg, I 42.8; 27.7 deg, I 14.1; 28.6 deg, I 17.5; 29.0 deg, I 16.6; 33.4 deg, I 100.0; 47.5 deg, I 11.2; 48.0 deg, I 44.9; 48.3 deg, I 11.1

Crystal structure
```
data_Ag5Sn6S16
_chemical_formula_sum 'Ag20 Sn24 S64'
_space_group_name_H-M_alt 'C 2 2 21'
_space_group_IT_number 20
_cell_length_a 15.060
_cell_length_b 15.318
_cell_length_c 10.722
_cell_angle_alpha 90.00
_cell_angle_beta 90.00
_cell_angle_gamma 90.00
loop_
_space_group_symop_operation_xyz
'x,y,z'
'-x,-y,z+1/2'
'x,-y,-z'
'-x,y,-z+1/2'
'x+1/2,y+1/2,z'
'-x+1/2,-y+1/2,z+1/2'
'x+1/2,-y+1/2,-z'
'-x+1/2,y+1/2,-z+1/2'
loop_
_atom_site_label
_atom_site_type_symbol
_atom_site_fract_x
_atom_site_fract_y
_atom_site_fract_z
Ag1 Ag 0.000 0.123 0.250
Ag2 Ag 0.112 0.500 0.500
Ag3 Ag 0.121 0.243 0.493
Ag4 Ag 0.129 0.500 0.000
Sn1 Sn 0.000 0.365 0.750
Sn2 Sn 0.127 0.000 0.000
Sn3 Sn 0.129 0.244 0.993
Sn4 Sn 0.248 0.374 0.744
S1 S 0.004 0.361 0.990
S2 S 0.012 0.124 0.998
S3 S 0.121 0.485 0.741
S4 S 0.127 0.249 0.747
S5 S 0.128 0.241 0.236
S6 S 0.131 0.009 0.239
S7 S 0.247 0.375 0.497
S8 S 0.248 0.366 0.984
```

=====

(9)
Starting from a PBE-relaxed structure, the XRD peak list of TaAg7S6 was calculated for Cu Kα (λ = 1.5418 Å).

The 8 most intense peaks (5° ≤ 2θ ≤ 70°), low angle first:
14.0 deg, I 57.8; 14.2 deg, I 66.4; 16.1 deg, I 75.2; 27.0 deg, I 65.6; 28.0 deg, I 97.7; 28.8 deg, I 100.0; 35.4 deg, I 89.4; 36.5 deg, I 89.7

Crystal structure
```
data_TaAg7S6
_chemical_formula_sum 'Ta1 Ag7 S6'
_space_group_name_H-M_alt 'P 1'
_space_group_IT_number 1
_cell_length_a 7.536
_cell_length_b 7.616
_cell_length_c 7.620
_cell_angle_alpha 92.61
_cell_angle_beta 117.90
_cell_angle_gamma 118.36
loop_
_space_group_symop_operation_xyz
'x,y,z'
loop_
_atom_site_label
_atom_site_type_symbol
_atom_site_fract_x
_atom_site_fract_y
_atom_site_fract_z
Ta1 Ta 0.000 0.000 0.000
Ag1 Ag 0.080 0.232 0.559
Ag2 Ag 0.101 0.698 0.796
Ag3 Ag 0.109 0.485 0.114
Ag4 Ag 0.436 0.531 0.980
Ag5 Ag 0.470 0.708 0.582
Ag6 Ag 0.633 0.133 0.170
Ag7 Ag 0.902 0.776 0.378
S1 S 0.022 0.517 0.458
S2 S 0.232 0.112 0.359
S3 S 0.258 0.127 0.881
S4 S 0.538 0.800 0.273
S5 S 0.746 0.114 0.881
S6 S 0.765 0.628 0.864
```

=====

Which formula does entry 8 have? Ag5Sn6S16